[1]
Diffraction record for Na2TlFeF6. The powder X-ray diffraction pattern is calculated, not measured: it uses a DFT-relaxed cell (PBE+U, Alexandria) and Cu Kα (weighted mean of Kα1 and Kα2).
Neutral-atom scattering factors, no anomalous dispersion.

a = 5.8775 Å, b = 5.8775 Å, c = 15.9985 Å
α = 90.00°, β = 90.00°, γ = 120.00°
Space group R3 (No. 146, hexagonal axes)
One atom of each set of equivalent atoms:
1 Na 0.0000 0.0000 0.0000
2 Na 0.0000 0.0000 0.4800
3 Tl 0.0000 0.0000 0.2109
4 Fe 0.0000 0.0000 0.6824
5 F 0.0495 0.6139 0.2700
6 F 0.0534 0.3741 0.4116

Largest 12 diffraction maxima, sorted by position, 2θ = 10–80°:
2theta  Rel. int.  h k l
18.29  34  1 0 1
20.68  100  0 1 2
28.38  72  1 0 4
30.42  53  1 1 0
33.07  22  0 1 5
34.86  33  1 1 3
35.72  19  0 2 1
37.07  22  2 0 2
42.08  25  0 2 4
45.96  32  2 -1 6
52.80  29  3 -1 4
54.05  20  3 0 0

---

[2]
Diffraction record for NaZr2FeF11. The powder X-ray diffraction pattern is calculated, not measured: it uses a DFT-relaxed cell (PBE+U, Alexandria) and Cu Kα (weighted mean of Kα1 and Kα2).
Neutral-atom scattering factors, no anomalous dispersion.

a = 9.280 Å, b = 6.873 Å, c = 7.929 Å
α = 90.00°, β = 116.33°, γ = 90.00°
Space group C2/m (No. 12)
One atom of each set of equivalent atoms:
1 Na 0.000 0.000 0.000
2 Zr 0.006 0.500 0.235
3 Fe 0.000 0.000 0.500
4 F 0.000 0.330 0.000
5 F 0.000 0.500 0.500
6 F 0.017 0.208 0.310
7 F 0.233 0.500 0.891
8 F 0.246 0.000 0.648

Largest 12 diffraction maxima, sorted by position, 2θ = 10–80°:
2theta  Rel. int.  h k l
16.73  37  1 1 0
17.83  12  1 1 -1
21.37  74  2 0 0
25.94  100  1 1 -2
43.51  30  4 0 0
45.75  40  1 3 -2
50.98  9  5 1 -2
51.20  10  1 3 2
51.38  13  4 2 0
51.76  12  3 1 2
53.34  17  0 4 0
72.86  9  2 4 -4

---

[3]
Diffraction record for Nb3ZnFe3O12F2. The powder X-ray diffraction pattern is calculated, not measured: it uses a DFT-relaxed cell (PBE+U, Alexandria) and Cu Kα (weighted mean of Kα1 and Kα2).
Neutral-atom scattering factors, no anomalous dispersion.

a = 5.182 Å, b = 5.491 Å, c = 10.540 Å
α = 95.69°, β = 100.02°, γ = 102.15°
Space group P1 (No. 1)
One atom of each set of equivalent atoms:
1 Nb 0.000 0.000 0.000
2 Nb 0.106 0.895 0.496
3 Nb 0.760 0.736 0.707
4 Zn 0.918 0.517 0.195
5 Fe 0.389 0.627 0.937
6 Fe 0.476 0.521 0.428
7 Fe 0.617 0.946 0.213
8 O 0.061 0.727 0.848
9 O 0.185 0.658 0.348
10 O 0.198 0.295 0.965
11 O 0.266 0.199 0.460
12 O 0.281 0.840 0.089
13 O 0.408 0.765 0.589
14 O 0.656 0.925 0.873
15 O 0.719 0.691 0.082
16 O 0.741 0.819 0.371
17 O 0.802 0.524 0.563
18 O 0.904 0.165 0.153
19 O 0.970 0.016 0.649
20 F 0.504 0.454 0.786
21 F 0.559 0.297 0.279

Largest 12 diffraction maxima, sorted by position, 2θ = 10–80°:
2theta  Rel. int.  h k l
16.68  100  0 1 0
21.47  41  1 -1 0
22.29  26  1 0 -2
23.63  63  1 -1 1
27.37  89  1 0 2
29.00  97  1 1 -2
32.98  49  -1 1 3
34.93  29  0 0 4
36.07  41  -2 1 1
42.30  28  1 2 -2
48.10  31  2 -1 3
58.21  24  3 0 1

---

[4]
Diffraction record for FeNiF4. The powder X-ray diffraction pattern is calculated, not measured: it uses a DFT-relaxed cell (PBE+U, Alexandria) and Cu Kα (weighted mean of Kα1 and Kα2).
Neutral-atom scattering factors, no anomalous dispersion.

a = 5.329 Å, b = 4.729 Å, c = 5.703 Å
α = 90.00°, β = 90.00°, γ = 90.00°
Space group Pnc2 (No. 30)
One atom of each set of equivalent atoms:
1 Fe 0.000 0.000 0.000
2 Ni 0.500 0.000 0.304
3 F 0.175 0.223 0.276
4 F 0.339 0.737 0.542

Largest 12 diffraction maxima, sorted by position, 2θ = 10–80°:
2theta  Rel. int.  h k l
24.45  55  0 1 1
29.72  100  1 1 1
33.64  13  2 0 0
35.71  19  1 0 2
40.64  19  1 1 2
42.02  18  2 1 1
51.69  26  2 2 0
51.83  16  0 1 3
53.17  42  1 2 2
57.75  16  3 1 1
61.51  20  3 0 2
63.22  14  2 1 3

---

[5]
Diffraction record for Tl3FeNi2F9. The powder X-ray diffraction pattern is calculated, not measured: it uses a DFT-relaxed cell (PBE+U, Alexandria) and Cu Kα (weighted mean of Kα1 and Kα2).
Neutral-atom scattering factors, no anomalous dispersion.

a = 5.9215 Å, b = 5.9215 Å, c = 7.2718 Å
α = 90.00°, β = 90.00°, γ = 120.00°
Space group P-3m1 (No. 164)
One atom of each set of equivalent atoms:
1 Tl 0.0000 0.0000 0.0000
2 Tl 0.3333 0.6667 0.6724
3 Fe 0.0000 0.0000 0.5000
4 Ni 0.3333 0.6667 0.1640
5 F 0.0000 0.5000 0.0000
6 F 0.1688 0.3377 0.3296

Largest 12 diffraction maxima, sorted by position, 2θ = 10–80°:
2theta  Rel. int.  h k l
21.20  26  1 0 1
30.16  100  1 1 0
37.16  25  0 2 1
43.17  33  2 0 2
48.58  13  2 1 1
53.48  10  1 0 4
53.59  31  3 0 0
62.64  10  0 2 4
62.77  10  2 2 0
67.02  6  1 3 1
71.14  18  3 1 2
75.23  7  4 0 1

---

[6]
Diffraction record for RbNpFeF6. The powder X-ray diffraction pattern is calculated, not measured: it uses a DFT-relaxed cell (PBE+U, Alexandria) and Cu Kα (weighted mean of Kα1 and Kα2).
Neutral-atom scattering factors, no anomalous dispersion.

a = 7.514 Å, b = 7.858 Å, c = 10.636 Å
α = 90.00°, β = 90.00°, γ = 90.00°
Space group Imma (No. 74)
One atom of each set of equivalent atoms:
1 Rb 0.000 0.250 0.087
2 Np 0.000 0.000 0.500
3 Fe 0.250 0.250 0.750
4 F 0.000 0.250 0.381
5 F 0.000 0.250 0.655
6 F 0.229 0.061 0.886

Largest 12 diffraction maxima, sorted by position, 2θ = 10–80°:
2theta  Rel. int.  h k l
14.43  86  1 0 1
16.67  48  0 0 2
26.95  100  1 2 1
27.61  31  0 1 3
27.83  27  1 0 3
28.24  42  0 2 2
29.10  55  2 0 2
36.16  43  1 2 3
43.70  33  3 2 1
44.26  24  1 0 5
47.88  50  2 2 4
50.28  22  3 2 3

---

[7]
Diffraction record for Fe4O7F. The powder X-ray diffraction pattern is calculated, not measured: it uses a DFT-relaxed cell (PBE+U, Alexandria) and Cu Kα (weighted mean of Kα1 and Kα2).
Neutral-atom scattering factors, no anomalous dispersion.

a = 6.003 Å, b = 4.636 Å, c = 9.247 Å
α = 90.00°, β = 90.17°, γ = 90.00°
Space group P2_1 (No. 4)
One atom of each set of equivalent atoms:
1 Fe 0.118 0.000 0.380
2 Fe 0.123 0.978 0.871
3 Fe 0.368 0.494 0.619
4 Fe 0.374 0.456 0.117
5 O 0.124 0.299 0.718
6 O 0.126 0.657 0.029
7 O 0.127 0.698 0.523
8 O 0.128 0.286 0.222
9 O 0.375 0.153 0.968
10 O 0.376 0.182 0.469
11 O 0.376 0.785 0.779
12 F 0.377 0.786 0.275

Largest 12 diffraction maxima, sorted by position, 2θ = 10–80°:
2theta  Rel. int.  h k l
27.24  100  0 1 2
35.63  40  2 0 -2
35.71  13  2 0 2
40.78  13  2 1 2
53.72  14  2 2 -2
53.77  29  2 1 -4
53.89  15  2 1 4
56.19  16  0 2 4
61.82  8  4 0 0
68.29  15  2 0 -6
68.75  6  4 1 -2
68.88  6  4 1 2

---

[8]
Diffraction record for Fe4O7F. The powder X-ray diffraction pattern is calculated, not measured: it uses a DFT-relaxed cell (PBE+U, Alexandria) and Cu Kα (weighted mean of Kα1 and Kα2).
Neutral-atom scattering factors, no anomalous dispersion.

a = 6.024 Å, b = 6.422 Å, c = 6.634 Å
α = 90.00°, β = 90.00°, γ = 90.00°
Space group Amm2 (No. 38)
One atom of each set of equivalent atoms:
1 Fe 0.000 0.000 0.000
2 Fe 0.242 0.000 0.503
3 Fe 0.500 0.000 0.976
4 O 0.000 0.000 0.308
5 O 0.000 0.000 0.698
6 O 0.253 0.193 0.995
7 O 0.500 0.000 0.677
8 F 0.500 0.000 0.294

Largest 12 diffraction maxima, sorted by position, 2θ = 10–80°:
2theta  Rel. int.  h k l
26.88  94  0 0 2
27.78  92  0 2 0
35.59  100  2 1 1
39.04  19  0 2 2
40.45  14  2 0 2
41.09  13  2 2 0
53.34  57  2 1 3
54.37  54  2 3 1
55.40  16  0 0 4
57.40  15  0 4 0
61.58  15  4 0 0
68.48  48  2 3 3

---

[9]
Diffraction record for Fe6O7F5. The powder X-ray diffraction pattern is calculated, not measured: it uses a DFT-relaxed cell (PBE+U, Alexandria) and Cu Kα (weighted mean of Kα1 and Kα2).
Neutral-atom scattering factors, no anomalous dispersion.

a = 9.386 Å, b = 6.322 Å, c = 7.846 Å
α = 90.00°, β = 117.63°, γ = 90.00°
Space group Cm (No. 8)
One atom of each set of equivalent atoms:
1 Fe 0.000 0.000 0.000
2 Fe 0.006 0.000 0.497
3 Fe 0.155 0.500 0.190
4 Fe 0.168 0.500 0.652
5 Fe 0.336 0.000 0.830
6 Fe 0.345 0.000 0.330
7 O 0.004 0.306 0.005
8 O 0.061 0.500 0.372
9 O 0.171 0.192 0.664
10 O 0.332 0.309 0.329
11 F 0.110 0.000 0.289
12 F 0.229 0.000 0.039
13 F 0.273 0.500 0.947
14 F 0.403 0.500 0.711
15 F 0.440 0.000 0.622

Largest 12 diffraction maxima, sorted by position, 2θ = 10–80°:
2theta  Rel. int.  h k l
24.61  100  2 0 -2
28.23  80  0 2 0
35.31  81  3 1 0
37.80  17  2 2 -2
50.46  15  4 0 -4
50.52  30  1 1 -4
50.74  30  5 1 -2
54.68  43  3 3 0
58.39  13  0 4 0
61.70  14  4 0 2
66.55  19  1 3 -4
66.74  18  5 3 -2

---

[10]
Diffraction record for Fe4OF8. The powder X-ray diffraction pattern is calculated, not measured: it uses a DFT-relaxed cell (PBE+U, Alexandria) and Cu Kα (weighted mean of Kα1 and Kα2).
Neutral-atom scattering factors, no anomalous dispersion.

a = 9.304 Å, b = 5.313 Å, c = 14.742 Å
α = 90.00°, β = 91.04°, γ = 90.00°
Space group Cc (No. 9)
One atom of each set of equivalent atoms:
1 Fe 0.000 0.029 0.000
2 Fe 0.004 0.050 0.295
3 Fe 0.167 0.432 0.842
4 Fe 0.170 0.462 0.641
5 O 0.028 0.229 0.887
6 F 0.027 0.293 0.571
7 F 0.035 0.395 0.234
8 F 0.151 0.240 0.075
9 F 0.153 0.239 0.390
10 F 0.167 0.179 0.728
11 F 0.307 0.418 0.235
12 F 0.325 0.346 0.573
13 F 0.349 0.325 0.894

Largest 12 diffraction maxima, sorted by position, 2θ = 10–80°:
2theta  Rel. int.  h k l
19.08  53  2 0 0
19.24  100  1 1 0
22.65  20  1 1 -2
22.81  20  2 0 2
30.68  29  2 0 -4
31.21  53  1 1 4
33.46  33  3 1 0
38.53  28  3 1 3
46.59  16  4 0 4
49.98  22  3 1 -6
50.61  18  0 2 6
50.83  19  3 1 6

---

[11]
Diffraction record for Fe6O7F5. The powder X-ray diffraction pattern is calculated, not measured: it uses a DFT-relaxed cell (PBE+U, Alexandria) and Cu Kα (weighted mean of Kα1 and Kα2).
Neutral-atom scattering factors, no anomalous dispersion.

a = 4.682 Å, b = 5.593 Å, c = 7.686 Å
α = 85.40°, β = 89.00°, γ = 88.55°
Space group P1 (No. 1)
One atom of each set of equivalent atoms:
1 Fe 0.000 0.000 0.000
2 Fe 0.006 0.312 0.638
3 Fe 0.020 0.651 0.328
4 Fe 0.506 0.149 0.317
5 Fe 0.537 0.467 0.974
6 Fe 0.584 0.829 0.664
7 O 0.213 0.360 0.421
8 O 0.329 0.189 0.087
9 O 0.718 0.115 0.540
10 O 0.729 0.773 0.894
11 O 0.824 0.940 0.228
12 O 0.830 0.277 0.867
13 O 0.832 0.610 0.550
14 F 0.228 0.685 0.094
15 F 0.229 0.018 0.751
16 F 0.326 0.531 0.751
17 F 0.330 0.852 0.432
18 F 0.723 0.443 0.211

Largest 12 diffraction maxima, sorted by position, 2θ = 10–80°:
2theta  Rel. int.  h k l
26.51  97  1 1 1
27.32  93  -1 1 1
35.15  100  1 1 -2
38.43  16  0 2 2
39.94  15  1 2 -1
40.51  16  1 -2 1
52.60  56  1 3 0
53.52  53  2 0 -3
54.59  15  2 2 2
60.84  17  0 2 -4
67.37  29  0 4 1
67.51  19  3 -1 2